Starting from a structure optimized by DFT (GGA+U), the XRD peak list of PmCoO3 was computed for Cu Kα (λ = 1.5418 Å).
Peak positions follow from Bragg's law for the DFT cell and can differ from measured ones.

Cell and atoms:
a = 5.4307 Å, b = 5.4307 Å, c = 12.8555 Å
α = 90.00°, β = 90.00°, γ = 120.00°
Space group R-3c (No. 167, hexagonal axes)
Unique sites:
Pm: 0.0000 0.0000 0.2500
Co: 0.0000 0.0000 0.0000
O: 0.0000 0.4283 0.2500

Peak list (10 most intense, 2θ from 5° to 70°, by angle)
hkl, d [Å], I (rel.)
0 1 2, 3.796, 32
1 1 0, 2.715, 100
1 0 4, 2.653, 100
2 0 2, 2.208, 23
0 2 4, 1.898, 57
1 2 2, 1.713, 9
3 0 0, 1.568, 24
2 1 4, 1.556, 41
0 1 8, 1.521, 18
2 2 0, 1.358, 15